Starting from a cell relaxed with GGA-PBE, the X-ray diffraction stick pattern of TbPr2Tm2Sc2 was computed for Cu Ka.
Neutral-atom scattering factors, no anomalous dispersion.

Cell and atoms:
```
data_TbPr2Tm2Sc2
_chemical_formula_sum 'Tb2 Pr4 Tm4 Sc4'
_cell_length_a 11.2652
_cell_length_b 3.4164
_cell_length_c 11.6199
_cell_angle_alpha 90.00
_cell_angle_beta 101.76
_cell_angle_gamma 90.00
_symmetry_space_group_name_H-M 'C 1 2/m 1'
_symmetry_Int_Tables_number 12
loop_
_symmetry_equiv_pos_as_xyz
'x,y,z'
'-x,-y,-z'
'-x,y,-z'
'x,-y,z'
'x+1/2,y+1/2,z'
'-x+1/2,-y+1/2,-z'
'-x+1/2,y+1/2,-z'
'x+1/2,-y+1/2,z'
loop_
_atom_site_label
_atom_site_type_symbol
_atom_site_fract_x
_atom_site_fract_y
_atom_site_fract_z
_atom_site_occupancy
Tb1 Tb 0.0000 0.0000 0.0000 1
Pr1 Pr 0.2074 0.5000 0.8523 1
Tm1 Tm 0.0495 0.0000 0.3090 1
Sc1 Sc 0.1440 0.5000 0.5541 1
```

Main lines, by angle (10 to 80 degrees two-theta):
27.33 deg, rel. 46, (1 1 0); 27.99 deg, rel. 55, (1 1 -1); 31.23 deg, rel. 100, (2 0 3); 31.80 deg, rel. 81, (4 0 -1); 32.36 deg, rel. 84, (2 0 -4); 35.18 deg, rel. 85, (1 1 -3); 35.88 deg, rel. 78, (3 1 0); 64.07 deg, rel. 45, (7 1 -1)

---

Starting from a cell relaxed with GGA-PBE, the X-ray diffraction stick pattern of Tb3Pr6Tm2Sc was computed for Cu Ka.
Neutral-atom scattering factors, no anomalous dispersion.

Cell and atoms:
```
data_Tb3Pr6Tm2Sc
_chemical_formula_sum 'Tb6 Pr12 Tm4 Sc2'
_cell_length_a 6.2679
_cell_length_b 10.8544
_cell_length_c 11.7772
_cell_angle_alpha 90.00
_cell_angle_beta 100.21
_cell_angle_gamma 90.00
_symmetry_space_group_name_H-M 'C 1 2/m 1'
_symmetry_Int_Tables_number 12
loop_
_symmetry_equiv_pos_as_xyz
'x,y,z'
'-x,-y,-z'
'-x,y,-z'
'x,-y,z'
'x+1/2,y+1/2,z'
'-x+1/2,-y+1/2,-z'
'-x+1/2,y+1/2,-z'
'x+1/2,-y+1/2,z'
loop_
_atom_site_label
_atom_site_type_symbol
_atom_site_fract_x
_atom_site_fract_y
_atom_site_fract_z
_atom_site_occupancy
Tb1 Tb 0.0000 0.0000 0.0000 1
Tb2 Tb 0.0000 0.3332 0.0000 1
Pr1 Pr 0.2471 0.3346 0.7457 1
Pr2 Pr 0.2491 0.5000 0.2541 1
Tm1 Tm 0.0000 0.1666 0.5000 1
Sc1 Sc 0.0000 0.5000 0.5000 1
```

Main lines, by angle (10 to 80 degrees two-theta):
30.32 deg, rel. 100, (1 3 1); 30.86 deg, rel. 32, (0 0 4); 35.31 deg, rel. 67, (2 0 2); 50.44 deg, rel. 24, (0 6 0); 51.15 deg, rel. 23, (1 3 5); 59.99 deg, rel. 14, (4 0 0); 60.31 deg, rel. 28, (3 3 3); 60.94 deg, rel. 13, (2 0 6)

---

Starting from a cell relaxed with GGA-PBE, the X-ray diffraction stick pattern of TbPr2Tm5Sc was computed for Cu Ka.
Neutral-atom scattering factors, no anomalous dispersion.

Cell and atoms:
```
data_TbPr2Tm5Sc
_chemical_formula_sum 'Tb4 Pr8 Tm20 Sc4'
_cell_length_a 5.5375
_cell_length_b 19.7434
_cell_length_c 10.3815
_cell_angle_alpha 90.00
_cell_angle_beta 90.00
_cell_angle_gamma 90.00
_symmetry_space_group_name_H-M 'C m c 21'
_symmetry_Int_Tables_number 36
loop_
_symmetry_equiv_pos_as_xyz
'x,y,z'
'-x,-y,z+1/2'
'-x,y,z'
'x,-y,z+1/2'
'x+1/2,y+1/2,z'
'-x+1/2,-y+1/2,z+1/2'
'-x+1/2,y+1/2,z'
'x+1/2,-y+1/2,z+1/2'
loop_
_atom_site_label
_atom_site_type_symbol
_atom_site_fract_x
_atom_site_fract_y
_atom_site_fract_z
_atom_site_occupancy
Tb1 Tb 0.0000 0.0893 0.0000 1
Pr1 Pr 0.0000 0.3846 0.2749 1
Pr2 Pr 0.0000 0.3873 0.8558 1
Tm1 Tm 0.0000 0.0178 0.2804 1
Tm2 Tm 0.0000 0.1230 0.5602 1
Tm3 Tm 0.0000 0.2015 0.2439 1
Tm4 Tm 0.0000 0.2237 0.8616 1
Tm5 Tm 0.0000 0.4835 0.5607 1
Sc1 Sc 0.0000 0.3030 0.5551 1
```

Main lines, by angle (10 to 80 degrees two-theta):
27.17 deg, rel. 23, (1 3 2); 28.45 deg, rel. 17, (0 6 1); 30.80 deg, rel. 38, (1 1 3); 32.33 deg, rel. 45, (2 0 0); 32.77 deg, rel. 100, (1 5 2); 52.08 deg, rel. 13, (0 6 5); 57.94 deg, rel. 20, (3 5 2); 62.65 deg, rel. 13, (2 6 5)

---

Starting from a cell relaxed with GGA-PBE, the X-ray diffraction stick pattern of Tb2PrTmSc was computed for Cu Ka.
Neutral-atom scattering factors, no anomalous dispersion.

Cell and atoms:
```
data_Tb2PrTmSc
_chemical_formula_sum 'Tb8 Pr4 Tm4 Sc4'
_cell_length_a 6.3612
_cell_length_b 15.9754
_cell_length_c 6.3521
_cell_angle_alpha 90.00
_cell_angle_beta 90.00
_cell_angle_gamma 90.00
_symmetry_space_group_name_H-M 'C m c m'
_symmetry_Int_Tables_number 63
_symmetry_space_group_name_Hall '-C 2c 2'
loop_
_atom_site_label
_atom_site_type_symbol
_atom_site_fract_x
_atom_site_fract_y
_atom_site_fract_z
_atom_site_occupancy
Tb1 Tb 0.2480 0.0000 0.0000 1
Pr1 Pr 0.0000 0.3373 0.2500 1
Tm1 Tm 0.0000 0.2478 0.7500 1
Sc1 Sc 0.0000 0.1535 0.2500 1
```

Main lines, by angle (10 to 80 degrees two-theta):
22.26 deg, rel. 22, (0 4 0); 25.94 deg, rel. 17, (1 3 1); 30.26 deg, rel. 100, (2 2 0); 34.44 deg, rel. 26, (1 5 1); 36.12 deg, rel. 14, (2 4 0); 40.12 deg, rel. 33, (2 0 2); 53.89 deg, rel. 15, (3 5 1); 66.86 deg, rel. 21, (4 2 2)

---

Starting from a cell relaxed with GGA-PBE, the X-ray diffraction stick pattern of TbPr6Y2Sc was computed for Cu Ka.
Neutral-atom scattering factors, no anomalous dispersion.

Cell and atoms:
```
data_TbPr6Y2Sc
_chemical_formula_sum 'Tb2 Pr12 Y4 Sc2'
_cell_length_a 10.3629
_cell_length_b 7.5719
_cell_length_c 9.0382
_cell_angle_alpha 90.00
_cell_angle_beta 102.25
_cell_angle_gamma 90.00
_symmetry_space_group_name_H-M 'C 1 2/m 1'
_symmetry_Int_Tables_number 12
loop_
_symmetry_equiv_pos_as_xyz
'x,y,z'
'-x,-y,-z'
'-x,y,-z'
'x,-y,z'
'x+1/2,y+1/2,z'
'-x+1/2,-y+1/2,-z'
'-x+1/2,y+1/2,-z'
'x+1/2,-y+1/2,z'
loop_
_atom_site_label
_atom_site_type_symbol
_atom_site_fract_x
_atom_site_fract_y
_atom_site_fract_z
_atom_site_occupancy
Tb1 Tb 0.0000 0.0000 0.0000 1
Pr1 Pr 0.1318 0.2819 0.7816 1
Pr2 Pr 0.1584 0.0000 0.4438 1
Y1 Y 0.1305 0.5000 0.1400 1
Sc1 Sc 0.0000 0.5000 0.5000 1
```

Main lines, by angle (10 to 80 degrees two-theta):
22.01 deg, rel. 32, (2 0 1); 26.43 deg, rel. 49, (1 1 2); 28.76 deg, rel. 39, (3 1 -1); 29.92 deg, rel. 100, (2 2 -1); 31.12 deg, rel. 73, (0 2 2); 31.75 deg, rel. 45, (2 0 -3); 32.56 deg, rel. 29, (3 1 1); 58.76 deg, rel. 30, (2 4 -3)

---

Starting from a cell relaxed with GGA-PBE, the X-ray diffraction stick pattern of Tb4PrY2Sc was computed for Cu Ka.
Neutral-atom scattering factors, no anomalous dispersion.

Cell and atoms:
```
data_Tb4PrY2Sc
_chemical_formula_sum 'Tb4 Pr1 Y2 Sc1'
_cell_length_a 5.8777
_cell_length_b 5.8892
_cell_length_c 7.3323
_cell_angle_alpha 90.00
_cell_angle_beta 90.00
_cell_angle_gamma 90.00
_symmetry_space_group_name_H-M 'P m m m'
_symmetry_Int_Tables_number 47
loop_
_symmetry_equiv_pos_as_xyz
'x,y,z'
'-x,-y,-z'
'-x,-y,z'
'x,y,-z'
'x,-y,-z'
'-x,y,z'
'-x,y,-z'
'x,-y,z'
loop_
_atom_site_label
_atom_site_type_symbol
_atom_site_fract_x
_atom_site_fract_y
_atom_site_fract_z
_atom_site_occupancy
Tb1 Tb 0.0000 0.0000 0.2460 1
Tb2 Tb 0.5000 0.5000 0.2465 1
Pr1 Pr 0.0000 0.5000 0.0000 1
Y1 Y 0.0000 0.5000 0.5000 1
Y2 Y 0.5000 0.0000 0.5000 1
Sc1 Sc 0.5000 0.0000 0.0000 1
```

Main lines, by angle (10 to 80 degrees two-theta):
30.38 deg, rel. 60, (2 0 0); 32.55 deg, rel. 100, (1 1 2); 43.51 deg, rel. 22, (2 2 0); 55.38 deg, rel. 44, (3 1 2); 59.41 deg, rel. 18, (2 0 4); 68.19 deg, rel. 12, (2 2 4); 71.75 deg, rel. 10, (4 2 0); 72.93 deg, rel. 10, (3 3 2)